[1]
# Na2FePCO7
Theoretical X-ray diffraction stick pattern, Cu Kα X-rays. Input: a PBE+U-relaxed structure.

Principal peaks in the range 10 to 80 degrees two-theta, sorted by position:
2theta, I (rel.)
16.76, 36
19.57, 55
19.71, 53
26.06, 28
27.21, 100
33.78, 44
33.88, 29
34.26, 45
37.37, 22
42.16, 23

Structure:
Cell lengths 5.235, 6.554, 17.936 Å; angles 90.00, 90.46, 90.00 degrees
Atoms (fractional coordinates):
Na  0.236  0.220  0.040
Na  0.236  0.280  0.540
Na  0.251  0.511  0.869
Na  0.251  0.989  0.369
Na  0.749  0.011  0.631
Na  0.749  0.489  0.131
Na  0.764  0.720  0.460
Na  0.764  0.780  0.960
Fe  0.216  0.734  0.673
Fe  0.216  0.766  0.173
Fe  0.784  0.234  0.827
Fe  0.784  0.266  0.327
P  0.290  0.245  0.712
P  0.290  0.255  0.212
P  0.710  0.745  0.788
P  0.710  0.755  0.288
C  0.270  0.736  0.033
C  0.270  0.764  0.533
C  0.730  0.236  0.467
C  0.730  0.264  0.967
O  0.044  0.740  0.064
O  0.044  0.760  0.564
O  0.129  0.244  0.284
O  0.129  0.256  0.784
O  0.226  0.057  0.663
O  0.226  0.443  0.163
O  0.240  0.067  0.161
O  0.240  0.433  0.661
O  0.298  0.734  0.962
O  0.298  0.766  0.462
O  0.422  0.735  0.765
O  0.422  0.765  0.265
O  0.464  0.742  0.079
O  0.464  0.758  0.579
O  0.536  0.242  0.421
O  0.536  0.258  0.921
O  0.578  0.235  0.735
O  0.578  0.265  0.235
O  0.702  0.234  0.538
O  0.702  0.266  0.038
O  0.760  0.567  0.339
O  0.760  0.933  0.839
O  0.774  0.557  0.837
O  0.774  0.943  0.337
O  0.871  0.744  0.216
O  0.871  0.756  0.716
O  0.956  0.240  0.436
O  0.956  0.260  0.936

[2]
# Na5Fe2P2C2O14
Theoretical X-ray diffraction stick pattern, Cu Kα X-rays. Input: a PBE+U-relaxed structure.

Principal peaks in the range 10 to 80 degrees two-theta, sorted by position:
2theta, I (rel.)
19.44, 39
19.66, 40
25.94, 30
26.62, 100
33.06, 41
33.34, 23
34.04, 59
34.32, 26
48.46, 29
54.81, 37

Structure:
Cell lengths 5.268, 11.088, 11.292 Å; angles 73.55, 89.37, 89.44 degrees
Atoms (fractional coordinates):
Na  0.000  0.000  0.000
Na  0.000  0.242  0.760
Na  0.001  0.487  0.503
Na  0.001  0.737  0.262
Na  0.499  0.233  0.241
Na  0.502  0.522  0.282
Na  0.506  0.035  0.768
Na  0.506  0.720  0.746
Na  0.979  0.676  0.967
Na  0.980  0.186  0.459
Fe  0.525  0.410  0.676
Fe  0.530  0.915  0.174
Fe  0.965  0.322  0.062
Fe  0.968  0.816  0.569
P  0.033  0.026  0.288
P  0.044  0.532  0.779
P  0.466  0.191  0.960
P  0.468  0.698  0.455
C  0.018  0.454  0.220
C  0.020  0.950  0.716
C  0.474  0.268  0.527
C  0.474  0.777  0.029
O  0.041  0.528  0.292
O  0.045  0.020  0.789
O  0.172  0.206  0.971
O  0.176  0.718  0.476
O  0.215  0.905  0.670
O  0.218  0.411  0.178
O  0.274  0.304  0.579
O  0.283  0.818  0.085
O  0.320  0.010  0.256
O  0.334  0.525  0.754
O  0.439  0.723  0.947
O  0.451  0.209  0.446
O  0.526  0.750  0.313
O  0.529  0.556  0.489
O  0.533  0.045  0.007
O  0.546  0.229  0.821
O  0.604  0.263  0.037
O  0.623  0.767  0.531
O  0.698  0.295  0.563
O  0.701  0.798  0.067
O  0.796  0.427  0.188
O  0.797  0.923  0.682
O  0.882  0.949  0.215
O  0.904  0.454  0.707
O  0.961  0.166  0.250
O  0.964  0.676  0.732
O  0.982  0.491  0.918
O  0.987  0.973  0.429

[3]
# Na2FePCO7
Theoretical X-ray diffraction stick pattern, Cu Kα X-rays. Input: a PBE+U-relaxed structure.

Principal peaks in the range 10 to 80 degrees two-theta, sorted by position:
2theta, I (rel.)
16.81, 33
19.47, 55
19.65, 51
25.98, 26
27.33, 100
33.78, 25
34.03, 70
37.40, 21
41.98, 22
56.40, 20

Structure:
Cell lengths 8.385, 8.385, 10.347 Å; angles 108.29, 108.29, 102.21 degrees
Atoms (fractional coordinates):
Na  0.000  0.000  0.000
Na  0.059  0.310  0.825
Na  0.105  0.625  0.164
Na  0.310  0.059  0.825
Na  0.527  0.527  0.996
Na  0.568  0.840  0.353
Na  0.625  0.105  0.164
Na  0.840  0.568  0.353
Fe  0.012  0.012  0.424
Fe  0.129  0.628  0.738
Fe  0.497  0.497  0.432
Fe  0.628  0.129  0.738
P  0.261  0.761  0.508
P  0.371  0.371  0.659
P  0.761  0.261  0.508
P  0.877  0.877  0.659
C  0.299  0.790  0.018
C  0.343  0.343  0.148
C  0.790  0.299  0.018
C  0.834  0.834  0.148
O  0.134  0.822  0.404
O  0.144  0.639  0.555
O  0.159  0.642  0.955
O  0.220  0.220  0.516
O  0.258  0.258  0.006
O  0.293  0.293  0.240
O  0.294  0.481  0.760
O  0.340  0.847  0.925
O  0.344  0.655  0.411
O  0.387  0.870  0.158
O  0.408  0.919  0.650
O  0.481  0.294  0.760
O  0.487  0.487  0.210
O  0.491  0.491  0.614
O  0.639  0.144  0.555
O  0.642  0.159  0.955
O  0.655  0.344  0.411
O  0.724  0.724  0.515
O  0.752  0.752  0.008
O  0.784  0.784  0.243
O  0.807  0.997  0.758
O  0.822  0.134  0.404
O  0.847  0.340  0.925
O  0.870  0.387  0.158
O  0.919  0.408  0.650
O  0.978  0.978  0.212
O  0.997  0.807  0.758
O  0.998  0.998  0.614

[4]
# Na5Fe2P2C2O14
Theoretical X-ray diffraction stick pattern, Cu Kα X-rays. Input: a PBE+U-relaxed structure.

Principal peaks in the range 10 to 80 degrees two-theta, sorted by position:
2theta, I (rel.)
16.56, 56
19.69, 29
25.85, 49
26.83, 78
33.36, 47
33.50, 93
34.18, 100
37.21, 27
48.79, 48
55.30, 34

Structure:
Cell lengths 5.243, 6.645, 9.031 Å; angles 90.00, 90.83, 90.00 degrees
Atoms (fractional coordinates):
Na  0.000  0.000  0.000
Na  0.485  0.247  0.827
Na  0.485  0.753  0.827
Na  0.994  0.255  0.324
Na  0.994  0.745  0.324
Fe  0.021  0.500  0.725
Fe  0.457  0.000  0.433
P  0.521  0.500  0.500
P  0.940  0.000  0.660
C  0.510  0.000  0.141
C  0.971  0.500  0.002
O  0.026  0.188  0.755
O  0.026  0.812  0.755
O  0.064  0.000  0.507
O  0.194  0.500  0.938
O  0.288  0.000  0.204
O  0.380  0.500  0.653
O  0.454  0.310  0.411
O  0.454  0.690  0.411
O  0.529  0.000  0.999
O  0.644  0.000  0.647
O  0.715  0.000  0.225
O  0.777  0.500  0.905
O  0.817  0.500  0.538
O  0.942  0.500  0.140